(1)
The following is a simulated X-ray diffraction stick pattern of MnZnIn4S8. It was derived from DFT lattice parameters and positions (PBE), using Cu Kα X-rays.
Kinematic intensities with the Lorentz-polarization factor, no thermal factor.

Largest 8 diffraction maxima, by intensity, 5° ≤ 2θ ≤ 70°:
2theta	I/Imax	h k l
28.0	100	2 0 2
21.2	91	6 0 0
46.5	79	0 2 0
32.6	72	5 1 1
26.8	64	1 1 1
41.0	58	8 0 2
49.1	55	11 1 1
26.4	40	1 1 -1

Structure:
```
data_MnZnIn4S8
_symmetry_space_group_name_H-M 'C 1 m 1'
_symmetry_Int_Tables_number 8
_symmetry_space_group_name_Hall 'C -2y'
_cell_length_a 25.260
_cell_length_b 3.905
_cell_length_c 6.777
_cell_angle_alpha 90.00
_cell_angle_beta 95.06
_cell_angle_gamma 90.00
loop_
_atom_site_label
_atom_site_type_symbol
_atom_site_fract_x
_atom_site_fract_y
_atom_site_fract_z
Mn1 Mn 0.000 0.000 0.000
Zn1 Zn 0.352 0.500 0.616
In1 In 0.151 0.500 0.888
In2 In 0.152 0.000 0.389
In3 In 0.352 0.000 0.128
In4 In 0.498 0.000 0.509
S1 S 0.054 0.500 0.865
S2 S 0.055 0.000 0.349
S3 S 0.195 0.000 0.070
S4 S 0.196 0.500 0.570
S5 S 0.316 0.500 0.930
S6 S 0.318 0.000 0.458
S7 S 0.447 0.500 0.661
S8 S 0.452 0.000 0.146
```

***

(2)
The following is a simulated X-ray diffraction stick pattern of SiO2. It was derived from DFT lattice parameters and positions (PBE), using Cu Kα X-rays.
Kinematic intensities with the Lorentz-polarization factor, no thermal factor.

Largest 8 diffraction maxima, by intensity, 5° ≤ 2θ ≤ 70°:
2theta	I/Imax	h k l
12.9	100	1 0 1
13.1	46	1 1 0
15.9	13	1 1 1
25.9	8	2 0 2
22.6	7	2 1 1
27.5	5	2 1 2
34.3	5	2 1 3
22.3	4	1 1 2

Structure:
```
data_SiO2
_symmetry_space_group_name_H-M 'P 41 21 2'
_symmetry_Int_Tables_number 92
_symmetry_space_group_name_Hall 'P 4abw 2nw'
_cell_length_a 9.584
_cell_length_b 9.584
_cell_length_c 9.889
_cell_angle_alpha 90.00
_cell_angle_beta 90.00
_cell_angle_gamma 90.00
loop_
_atom_site_label
_atom_site_type_symbol
_atom_site_fract_x
_atom_site_fract_y
_atom_site_fract_z
Si1 Si 0.035 0.377 0.351
Si2 Si 0.202 0.798 0.750
O1 O 0.006 0.524 0.722
O2 O 0.061 0.765 0.837
O3 O 0.186 0.301 0.374
```

***

(3)
The following is a simulated X-ray diffraction stick pattern of TmAlAu2. It was derived from DFT lattice parameters and positions (PBE), using Cu Kα X-rays.
Kinematic intensities with the Lorentz-polarization factor, no thermal factor.

Largest 8 diffraction maxima, by intensity, 5° ≤ 2θ ≤ 70°:
2theta	I/Imax	h k l
37.5	100	2 2 0
67.7	36	4 2 2
54.1	18	4 0 0
26.3	14	2 0 0
22.7	13	1 1 1
44.3	7	3 1 1
61.1	6	4 2 0
46.4	4	2 2 2

Structure:
```
data_TmAlAu2
_symmetry_space_group_name_H-M 'F m -3 m'
_symmetry_Int_Tables_number 225
_symmetry_space_group_name_Hall '-F 4 2 3'
_cell_length_a 6.778
_cell_length_b 6.778
_cell_length_c 6.778
_cell_angle_alpha 90.00
_cell_angle_beta 90.00
_cell_angle_gamma 90.00
loop_
_atom_site_label
_atom_site_type_symbol
_atom_site_fract_x
_atom_site_fract_y
_atom_site_fract_z
Tm1 Tm 0.000 0.000 0.000
Al1 Al 0.000 0.000 0.500
Au1 Au 0.250 0.250 0.250
```